Structure and computed powder X-ray diffraction pattern of Ba2PrMg3Tl2Cd (the PBE geometry in OQMD; copper Kα).
Kinematic intensities with the Lorentz-polarization factor, no thermal factor.

Crystal structure
```
Ba2PrMg3Tl2Cd
1.0
5.002 0.000 0.000
0.000 7.136 4.025
0.000 -7.136 4.025
Ba Pr Mg Tl Cd
2 1 3 2 1
direct
0.000 0.211 0.789
0.000 0.789 0.211
0.000 0.366 0.366
0.500 0.019 0.019
0.500 0.558 0.780
0.500 0.780 0.558
0.500 0.146 0.447
0.500 0.447 0.146
0.000 0.778 0.778
```

The 10 most intense peaks (2θ from 10° to 80°), sorted by position:
2θ 12.6, I 45
2θ 21.7, I 50
2θ 28.2, I 100
2θ 28.5, I 41
2θ 30.8, I 83
2θ 31.2, I 87
2θ 35.9, I 49
2θ 38.2, I 39
2θ 38.6, I 48
2θ 59.9, I 32